(1)
# Na5ScH4C4O14
Simulated X-ray diffraction stick pattern, Cu Kα (λ = 1.5418 Å). Input: DFT lattice parameters and positions (GGA-PBE).

Structure:
Lattice parameters (Å, degrees): 7.571 7.571 11.620 90.00 90.00 90.00
Space group P-42_1c (No. 114)
Symmetry-distinct sites (fractional):
Na (0.000, 0.000, 0.000) x2
Na (0.180, 0.320, 0.210) x8
Sc (0.000, 0.000, 0.500) x2
H (0.060, 0.586, 0.385) x8
C (0.174, 0.718, 0.576) x8
O (0.000, 0.500, 0.333) x4
O (0.090, 0.766, 0.114) x8
O (0.092, 0.829, 0.645) x8
O (0.156, 0.753, 0.465) x8

Main lines, sorted by position (2θ from 10° to 80°):
d 6.344, intensity 45, (1 0 1)
d 3.937, intensity 57, (1 1 2)
d 2.925, intensity 100, (2 1 2)
d 2.677, intensity 22, (2 2 0)
d 2.431, intensity 13, (2 2 2)
d 2.205, intensity 15, (2 1 4)
d 1.969, intensity 15, (2 2 4)
d 1.847, intensity 27, (3 1 4)
d 1.821, intensity 18, (1 1 6)
d 1.751, intensity 13, (4 1 2)

=====

(2)
# Rb3NbH4C6O15
Simulated X-ray diffraction stick pattern, Cu Kα (λ = 1.5418 Å). Input: DFT lattice parameters and positions (GGA-PBE).

Structure:
Lattice parameters (Å, degrees): 8.083 9.177 11.743 78.82 87.35 86.09
Space group P-1 (No. 2)
Symmetry-distinct sites (fractional):
Rb (0.013, 0.244, 0.370) x2
Rb (0.147, 0.331, 0.930) x2
Rb (0.384, 0.035, 0.651) x2
Nb (0.320, 0.628, 0.168) x2
H (0.033, 0.061, 0.134) x2
H (0.170, 0.406, 0.593) x2
H (0.220, 0.094, 0.147) x2
H (0.253, 0.498, 0.484) x2
C (0.065, 0.752, 0.330) x2
C (0.228, 0.820, 0.353) x2
C (0.261, 0.895, 0.970) x2
C (0.425, 0.348, 0.342) x2
C (0.425, 0.620, 0.744) x2
C (0.448, 0.849, 0.962) x2
O (0.069, 0.220, 0.619) x2
O (0.081, 0.662, 0.256) x2
O (0.105, 0.129, 0.160) x2
O (0.188, 0.821, 0.062) x2
O (0.195, 0.994, 0.896) x2
O (0.212, 0.506, 0.563) x2
O (0.220, 0.514, 0.091) x2
O (0.230, 0.902, 0.425) x2
O (0.304, 0.710, 0.745) x2
O (0.312, 0.458, 0.329) x2
O (0.353, 0.781, 0.290) x2
O (0.416, 0.230, 0.413) x2
O (0.444, 0.492, 0.814) x2
O (0.458, 0.089, 0.116) x2
O (0.494, 0.739, 0.045) x2

Main lines, sorted by position (2θ from 10° to 80°):
d 6.506, intensity 67, (0 1 -1)
d 5.333, intensity 81, (0 1 2)
d 4.482, intensity 42, (0 1 -2)
d 4.030, intensity 47, (1 2 0)
d 3.926, intensity 96, (0 2 2)
d 3.701, intensity 100, (2 1 1)
d 3.252, intensity 61, (0 2 -2)
d 2.914, intensity 44, (2 -2 0)
d 2.878, intensity 56, (0 0 4)
d 2.073, intensity 56, (2 -3 2)

=====

(3)
# Nd4HC2O
Simulated X-ray diffraction stick pattern, Cu Kα (λ = 1.5418 Å). Input: DFT lattice parameters and positions (GGA-PBE).

Structure:
Lattice parameters (Å, degrees): 5.229 5.229 10.557 90.00 90.00 90.00
Space group I-4m2 (No. 119)
Symmetry-distinct sites (fractional):
Nd (0.000, 0.000, 0.238) x4
Nd (0.000, 0.500, 0.501) x4
H (0.000, 0.000, 0.500) x2
C (0.000, 0.000, 0.000) x2
C (0.000, 0.500, 0.250) x2
O (0.000, 0.500, 0.750) x2

Main lines, sorted by position (2θ from 10° to 80°):
d 3.028, intensity 100, (1 1 2)
d 2.639, intensity 22, (0 0 4)
d 2.615, intensity 45, (2 0 0)
d 1.857, intensity 31, (2 0 4)
d 1.849, intensity 16, (2 2 0)
d 1.589, intensity 14, (1 1 6)
d 1.578, intensity 30, (3 1 2)
d 1.514, intensity 16, (2 2 4)
d 1.205, intensity 11, (3 1 6)
d 1.200, intensity 6, (3 3 2)